The following is a simulated powder XRD pattern of Pm3ErIr2. It was derived from a DFT-relaxed cell (GGA-PBE, Alexandria), using CuKα.
Peak positions follow from Bragg's law for the DFT cell and can differ from measured ones.

Principal peaks in the range 10 to 80 degrees two-theta, sorted by position:
2θ = 22.0°, d = 4.035 Å, I = 1000, hkl 1 2 1; 2θ = 34.2°, d = 2.623 Å, I = 541, hkl 1 3 2; 2θ = 36.1°, d = 2.491 Å, I = 821, hkl 2 0 2; 2θ = 36.9°, d = 2.433 Å, I = 840, hkl 2 4 0; 2θ = 38.4°, d = 2.342 Å, I = 228, hkl 2 2 2; 2θ = 43.4°, d = 2.084 Å, I = 317, hkl 1 6 1; 2θ = 53.2°, d = 1.720 Å, I = 254, hkl 4 0 0; 2θ = 64.3°, d = 1.450 Å, I = 337, hkl 2 4 4

Structural model:
```
data_Pm3ErIr2
_chemical_formula_sum 'Pm12 Er4 Ir8'
_symmetry_space_group_name_H-M 'I b a m'
_symmetry_Int_Tables_number 72
_symmetry_space_group_name_Hall '-I 2 2c'
_cell_length_a 6.8771
_cell_length_b 13.7715
_cell_length_c 7.2205
_cell_angle_alpha 90.00
_cell_angle_beta 90.00
_cell_angle_gamma 90.00
loop_
_atom_site_label
_atom_site_type_symbol
_atom_site_fract_x
_atom_site_fract_y
_atom_site_fract_z
_atom_site_occupancy
Pm1 Pm 0.0000 0.0000 0.2500 1
Pm2 Pm 0.0000 0.2663 0.2500 1
Er1 Er 0.0000 0.5000 0.0000 1
Ir1 Ir 0.2169 0.1364 0.0000 1
```